Diffraction record for Co3SnC12BrO12. The X-ray powder pattern is computed, not measured: it uses a GGA+U-relaxed structure and a wavelength of 1.5418 Å.

The 12 most intense peaks (2θ from 10° to 80°), in order of falling intensity:
2θ = 12.11°, rel. 100.0, hkl 1 0 1; 2θ = 26.94°, rel. 29.6, hkl 1 2 1; 2θ = 14.42°, rel. 28.1, hkl 0 0 2; 2θ = 36.37°, rel. 19.5, hkl 3 1 1; 2θ = 29.79°, rel. 18.7, hkl 2 1 2; 2θ = 18.38°, rel. 15.5, hkl 1 1 1; 2θ = 45.39°, rel. 14.7, hkl 2 1 5; 2θ = 45.70°, rel. 14.0, hkl 4 1 0; 2θ = 19.53°, rel. 12.6, hkl 2 0 0; 2θ = 41.82°, rel. 12.6, hkl 2 0 5; 2θ = 30.72°, rel. 11.5, hkl 1 0 4; 2θ = 30.38°, rel. 11.1, hkl 3 0 1

Cell and atoms:
Lattice parameters (Å, degrees): 10.4992 10.4992 12.2861 90.00 90.00 120.00
Space group P6_3 (No. 173)
Inequivalent atoms, fractional coordinates:
Co (0.1131, 0.4032, 0.0000)
Sn (0.3333, 0.6667, 0.0548)
C (0.0076, 0.5282, 0.5292)
C (0.0263, 0.7727, 0.4592)
C (0.1684, 0.3364, 0.1127)
C (0.2083, 0.4398, 0.8744)
Br (0.3333, 0.6667, 0.2643)
O (0.0861, 0.8068, 0.1836)
O (0.0956, 0.4953, 0.5469)
O (0.1107, 0.2265, 0.4330)
O (0.1883, 0.7358, 0.7905)

=====

Diffraction record for KGa2NiP3H4O14. The X-ray powder pattern is computed, not measured: it uses a GGA+U-relaxed structure and a wavelength of 1.5418 Å.

The 12 most intense peaks (2θ from 10° to 80°), in order of falling intensity:
2θ = 16.56°, rel. 100.0, hkl 1 1 1; 2θ = 29.45°, rel. 73.0, hkl 4 0 -2; 2θ = 28.47°, rel. 54.0, hkl 2 0 2; 2θ = 11.02°, rel. 45.6, hkl 1 1 0; 2θ = 26.27°, rel. 41.9, hkl 2 2 1; 2θ = 28.16°, rel. 34.8, hkl 1 3 -1; 2θ = 33.17°, rel. 28.1, hkl 3 3 -1; 2θ = 35.22°, rel. 21.2, hkl 2 2 -3; 2θ = 26.92°, rel. 19.6, hkl 1 3 0; 2θ = 29.70°, rel. 16.9, hkl 1 3 1; 2θ = 21.78°, rel. 15.4, hkl 1 1 -2; 2θ = 48.09°, rel. 12.8, hkl 5 3 -3

Cell and atoms:
Lattice parameters (Å, degrees): 13.4511 10.2842 8.8963 90.00 107.41 90.00
Space group C2/c (No. 15)
Inequivalent atoms, fractional coordinates:
K (0.0000, 0.1338, 0.2500)
Ga (0.1725, 0.4252, 0.5694)
Ni (0.0000, 0.2278, 0.7500)
P (0.0000, 0.4982, 0.7500)
P (0.2081, 0.1279, 0.6799)
H (0.1383, 0.2751, 0.0476)
H (0.1410, 0.1305, 0.9852)
O (0.0590, 0.4096, 0.3840)
O (0.0719, 0.4007, 0.6974)
O (0.0944, 0.2043, 0.9862)
O (0.0985, 0.1029, 0.6900)
O (0.2065, 0.4095, 0.1615)
O (0.2220, 0.0457, 0.5406)
O (0.2363, 0.2725, 0.6618)

=====

Diffraction record for K4MgMn4O8. The X-ray powder pattern is computed, not measured: it uses a GGA+U-relaxed structure and a wavelength of 1.5418 Å.

The 12 most intense peaks (2θ from 10° to 80°), in order of falling intensity:
2θ = 14.03°, rel. 100.0, hkl 0 1 1; 2θ = 26.54°, rel. 77.0, hkl 0 0 4; 2θ = 31.92°, rel. 75.1, hkl 1 0 -2; 2θ = 44.42°, rel. 59.3, hkl 1 -2 2; 2θ = 27.58°, rel. 59.3, hkl 0 2 0; 2θ = 40.90°, rel. 57.5, hkl -1 2 2; 2θ = 16.31°, rel. 43.0, hkl 0 1 -1; 2θ = 40.07°, rel. 29.6, hkl 1 2 1; 2θ = 41.90°, rel. 28.4, hkl 1 -2 1; 2θ = 26.28°, rel. 28.4, hkl 0 1 -3; 2θ = 34.67°, rel. 26.1, hkl 0 2 4; 2θ = 13.18°, rel. 26.0, hkl 0 0 2

Cell and atoms:
Lattice parameters (Å, degrees): 3.0859 6.5837 13.6821 79.04 89.80 89.98
Space group P1 (No. 1)
Inequivalent atoms, fractional coordinates:
K (0.0000, 0.0000, 0.0000)
K (0.0035, 0.5192, 0.5226)
K (0.4941, 0.9348, 0.2564)
K (0.5010, 0.5667, 0.8153)
Mg (0.5060, 0.1528, 0.4382)
Mn (0.0005, 0.5077, 0.0649)
Mn (0.0038, 0.9476, 0.5853)
Mn (0.4975, 0.4506, 0.2533)
Mn (0.5015, 0.0937, 0.7489)
O (0.0007, 0.2386, 0.7985)
O (0.0019, 0.8947, 0.7387)
O (0.0068, 0.2683, 0.3556)
O (0.5002, 0.3125, 0.1153)
O (0.5011, 0.6633, 0.9940)
O (0.5034, 0.1909, 0.5826)
O (0.5046, 0.8516, 0.4935)
O (0.9969, 0.6541, 0.1963)

=====

Diffraction record for Rb3LiTbV2O8. The X-ray powder pattern is computed, not measured: it uses a GGA+U-relaxed structure and a wavelength of 1.5418 Å.

The 12 most intense peaks (2θ from 10° to 80°), in order of falling intensity:
2θ = 26.57°, rel. 100.0, hkl 0 1 2; 2θ = 29.86°, rel. 98.1, hkl 1 1 0; 2θ = 40.39°, rel. 43.4, hkl 2 0 2; 2θ = 51.03°, rel. 32.4, hkl 1 2 2; 2θ = 10.05°, rel. 26.5, hkl 0 0 1; 2θ = 51.55°, rel. 23.2, hkl 1 1 4; 2θ = 35.15°, rel. 22.9, hkl 1 0 3; 2θ = 19.88°, rel. 18.8, hkl 0 1 1; 2θ = 53.00°, rel. 18.8, hkl 3 0 0; 2θ = 62.03°, rel. 16.7, hkl 2 2 0; 2θ = 17.11°, rel. 16.2, hkl 1 0 0; 2θ = 46.77°, rel. 15.5, hkl 0 2 3

Cell and atoms:
Lattice parameters (Å, degrees): 5.9849 5.9849 8.8024 90.00 90.00 120.00
Space group P3m1 (No. 156)
Inequivalent atoms, fractional coordinates:
Rb (0.0000, 0.0000, 0.0000)
Rb (0.3333, 0.6667, 0.5413)
Rb (0.6667, 0.3333, 0.2002)
Li (0.6667, 0.3333, 0.5017)
Tb (0.6667, 0.3333, 0.7836)
V (0.0000, 0.0000, 0.5335)
V (0.3333, 0.6667, 0.0114)
O (0.0000, 0.0000, 0.3360)
O (0.0111, 0.5056, 0.9463)
O (0.3333, 0.6667, 0.2032)
O (0.3396, 0.1698, 0.6071)

=====

Diffraction record for Ga2FeP3O12. The X-ray powder pattern is computed, not measured: it uses a GGA+U-relaxed structure and a wavelength of 1.5418 Å.

The 12 most intense peaks (2θ from 10° to 80°), in order of falling intensity:
2θ = 25.96°, rel. 100.0, hkl 1 1 2; 2θ = 25.81°, rel. 47.6, hkl 2 0 -2; 2θ = 20.53°, rel. 17.3, hkl 1 1 0; 2θ = 38.07°, rel. 14.6, hkl 1 1 -4; 2θ = 20.37°, rel. 13.6, hkl 2 0 0; 2θ = 41.76°, rel. 13.0, hkl 2 2 0; 2θ = 48.46°, rel. 9.3, hkl 0 0 6; 2θ = 48.57°, rel. 9.1, hkl 3 1 4; 2θ = 39.28°, rel. 8.9, hkl 3 1 2; 2θ = 35.76°, rel. 7.4, hkl 3 1 0; 2θ = 38.03°, rel. 7.4, hkl 2 0 4; 2θ = 66.99°, rel. 7.1, hkl 3 3 2

Cell and atoms:
Lattice parameters (Å, degrees): 8.7205 4.9828 11.2827 90.00 90.11 90.00
Space group C2 (No. 5)
Inequivalent atoms, fractional coordinates:
Ga (0.2291, 0.0000, 0.1651)
Fe (0.0000, 0.6832, 0.5000)
P (0.0000, 0.6877, 0.0000)
P (0.2274, 0.9998, 0.6693)
O (0.0485, 0.8661, 0.1058)
O (0.0695, 0.8919, 0.6300)
O (0.1336, 0.5056, 0.9596)
O (0.1618, 0.4800, 0.4369)
O (0.2054, 0.3401, 0.2249)
O (0.2065, 0.2955, 0.7079)

=====

Diffraction record for Gd3BWO9. The X-ray powder pattern is computed, not measured: it uses a GGA+U-relaxed structure and a wavelength of 1.5418 Å.

The 12 most intense peaks (2θ from 10° to 80°), in order of falling intensity:
2θ = 28.83°, rel. 100.0, hkl 2 0 1; 2θ = 26.22°, rel. 98.4, hkl 1 1 1; 2θ = 55.98°, rel. 52.9, hkl 3 2 1; 2θ = 49.33°, rel. 31.5, hkl 3 0 2; 2θ = 35.88°, rel. 26.9, hkl 3 0 0; 2θ = 46.06°, rel. 26.3, hkl 1 2 2; 2θ = 35.63°, rel. 25.6, hkl 2 1 1; 2θ = 32.70°, rel. 24.9, hkl 0 0 2; 2θ = 43.46°, rel. 21.3, hkl 1 3 0; 2θ = 31.53°, rel. 20.6, hkl 1 2 0; 2θ = 64.33°, rel. 19.0, hkl 5 0 1; 2θ = 23.70°, rel. 18.5, hkl 2 0 0

Cell and atoms:
Lattice parameters (Å, degrees): 8.6696 8.6696 5.4765 90.00 90.00 120.00
Space group P6_3 (No. 173)
Inequivalent atoms, fractional coordinates:
Gd (0.0788, 0.7229, 0.0000)
B (0.0000, 0.0000, 0.1699)
W (0.3333, 0.6667, 0.5428)
O (0.0543, 0.8750, 0.6613)
O (0.1321, 0.5190, 0.7701)
O (0.2038, 0.4634, 0.3357)

=====

Diffraction record for Ca2Mn2O5. The X-ray powder pattern is computed, not measured: it uses a GGA+U-relaxed structure and a wavelength of 1.5418 Å.

The 12 most intense peaks (2θ from 10° to 80°), in order of falling intensity:
2θ = 32.70°, rel. 100.0, hkl 2 0 -1; 2θ = 33.52°, rel. 47.0, hkl 1 1 1; 2θ = 31.78°, rel. 40.2, hkl 0 2 -1; 2θ = 45.01°, rel. 23.6, hkl 2 -2 0; 2θ = 48.79°, rel. 21.1, hkl 0 0 4; 2θ = 47.45°, rel. 20.7, hkl 2 2 -2; 2θ = 11.85°, rel. 17.5, hkl 0 0 1; 2θ = 23.85°, rel. 17.3, hkl 0 0 2; 2θ = 59.98°, rel. 11.0, hkl 2 0 -5; 2θ = 57.85°, rel. 11.0, hkl 3 -1 1; 2θ = 59.40°, rel. 9.5, hkl 3 1 -4; 2θ = 33.98°, rel. 8.7, hkl 0 1 2

Cell and atoms:
Lattice parameters (Å, degrees): 5.4837 5.6389 8.3860 108.49 108.10 92.86
Space group P1 (No. 1)
Inequivalent atoms, fractional coordinates:
Ca (0.0000, 0.0000, 0.0000)
Ca (0.2028, 0.1738, 0.4305)
Ca (0.4871, 0.4573, 0.0053)
Ca (0.7148, 0.7207, 0.4347)
Mn (0.0919, 0.5953, 0.2217)
Mn (0.3868, 0.7682, 0.7171)
Mn (0.5899, 0.0907, 0.2157)
Mn (0.8944, 0.3949, 0.7189)
O (0.1888, 0.7874, 0.4739)
O (0.2517, 0.4174, 0.7170)
O (0.3253, 0.8224, 0.1895)
O (0.3485, 0.3846, 0.2570)
O (0.4295, 0.0268, 0.9584)
O (0.7150, 0.1630, 0.4831)
O (0.7606, 0.7137, 0.7180)
O (0.8365, 0.8100, 0.1803)
O (0.8576, 0.3567, 0.2457)
O (0.9586, 0.3960, 0.9555)

=====

Diffraction record for Mn12O7F17. The X-ray powder pattern is computed, not measured: it uses a GGA+U-relaxed structure and a wavelength of 1.5418 Å.

The 12 most intense peaks (2θ from 10° to 80°), in order of falling intensity:
2θ = 30.16°, rel. 100.0, hkl -1 1 3; 2θ = 28.64°, rel. 60.4, hkl 1 1 3; 2θ = 23.27°, rel. 56.1, hkl 1 1 0; 2θ = 28.97°, rel. 50.7, hkl 1 1 -3; 2θ = 24.92°, rel. 45.4, hkl 1 -1 0; 2θ = 54.17°, rel. 33.8, hkl 2 -2 3; 2θ = 51.18°, rel. 31.1, hkl 2 0 6; 2θ = 41.21°, rel. 30.4, hkl 1 -2 3; 2θ = 51.66°, rel. 25.6, hkl 2 0 -6; 2θ = 50.99°, rel. 22.2, hkl 2 2 -3; 2θ = 38.96°, rel. 20.8, hkl 1 2 3; 2θ = 50.59°, rel. 20.1, hkl 2 2 3

Cell and atoms:
Lattice parameters (Å, degrees): 4.8027 5.8048 15.8976 89.54 89.48 86.08
Space group P1 (No. 1)
Inequivalent atoms, fractional coordinates:
Mn (0.0000, 0.0000, 0.0000)
Mn (0.0004, 0.3358, 0.5139)
Mn (0.4562, 0.7939, 0.4971)
Mn (0.4654, 0.8238, 0.8386)
Mn (0.4708, 0.8225, 0.1591)
Mn (0.4802, 0.4803, 0.6633)
Mn (0.4807, 0.4973, 0.0010)
Mn (0.4848, 0.4959, 0.3354)
Mn (0.9626, 0.9991, 0.6664)
Mn (0.9664, 0.2950, 0.8476)
Mn (0.9683, 0.3164, 0.1805)
Mn (0.9731, 0.9911, 0.3413)
O (0.1914, 0.0460, 0.8953)
O (0.2597, 0.7589, 0.3871)
O (0.2630, 0.7639, 0.0490)
O (0.2714, 0.5386, 0.5592)
O (0.7521, 0.2610, 0.2898)
O (0.7527, 0.2601, 0.9516)
O (0.7727, 0.2810, 0.6144)
F (0.2042, 0.2630, 0.7383)
F (0.2125, 0.0347, 0.2339)
F (0.2187, 0.2632, 0.4031)
F (0.2325, 0.0417, 0.5664)
F (0.2349, 0.2702, 0.0705)
F (0.2474, 0.7545, 0.7222)
F (0.2565, 0.5382, 0.8912)
F (0.2695, 0.5351, 0.2273)
F (0.7091, 0.7706, 0.6063)
F (0.7099, 0.5259, 0.7797)
F (0.7142, 0.5341, 0.1088)
F (0.7225, 0.7490, 0.9436)
F (0.7246, 0.5300, 0.4379)
F (0.7252, 0.7625, 0.2714)
F (0.7363, 0.0346, 0.7769)
F (0.7595, 0.0261, 0.4527)
F (0.7841, 0.0306, 0.1096)

=====

Diffraction record for ZnNi2O4. The X-ray powder pattern is computed, not measured: it uses a GGA+U-relaxed structure and a wavelength of 1.5418 Å.

The 12 most intense peaks (2θ from 10° to 80°), in order of falling intensity:
2θ = 35.76°, rel. 100.0, hkl 1 1 3; 2θ = 57.50°, rel. 36.2, hkl 0 3 3; 2θ = 35.63°, rel. 34.2, hkl 0 1 5; 2θ = 63.25°, rel. 28.7, hkl 2 2 0; 2θ = 62.96°, rel. 28.4, hkl 2 0 8; 2θ = 43.43°, rel. 23.4, hkl 0 2 4; 2θ = 30.40°, rel. 21.2, hkl 1 1 0; 2θ = 30.27°, rel. 17.9, hkl 1 0 4; 2θ = 37.43°, rel. 12.1, hkl 2 0 2; 2θ = 53.97°, rel. 9.7, hkl 3 0 0; 2θ = 57.35°, rel. 8.8, hkl 0 2 7; 2θ = 18.46°, rel. 7.7, hkl 1 0 1

Cell and atoms:
Lattice parameters (Å, degrees): 5.8810 5.8810 14.4955 90.00 90.00 120.00
Space group R3m (No. 160, hexagonal axes)
Inequivalent atoms, fractional coordinates:
Zn (0.0000, 0.0000, 0.0000)
Zn (0.0000, 0.0000, 0.3796)
Ni (0.0000, 0.0000, 0.6225)
Ni (0.1690, 0.3380, 0.8341)
O (0.0000, 0.0000, 0.2459)
O (0.0000, 0.0000, 0.7508)
O (0.0280, 0.5140, 0.7604)
O (0.1749, 0.3498, 0.5754)